PuPa2Tc3: calculated X-ray powder pattern (a wavelength of 1.5418 Å), based on a crystal structure in Alexandria, relaxed with GGA-PBE.

Structural model:
```
PuPa2Tc3
1.0
4.602 0.000 0.000
0.000 15.110 0.000
0.000 0.000 3.466
Pu Pa Tc
2 4 6
direct
0.250 0.250 0.003
0.750 0.750 0.997
0.250 0.588 0.998
0.250 0.912 0.998
0.750 0.088 0.002
0.750 0.412 0.002
0.250 0.075 0.502
0.250 0.425 0.502
0.250 0.750 0.497
0.750 0.250 0.503
0.750 0.575 0.498
0.750 0.925 0.498
```

The 10 most intense peaks (2θ from 10° to 90°), by angle:
2θ (°)  Rel. int.
25.70  9
26.23  18
35.65  27
37.05  100
39.15  22
53.98  17
64.96  18
65.36  10
69.57  16
78.91  11



Nd4YTm8: calculated X-ray powder pattern (a wavelength of 1.5418 Å), based on a crystal structure in Alexandria, relaxed with GGA-PBE.

Structural model:
```
Nd4YTm8
1.0
7.764 0.000 0.000
0.000 7.764 0.000
0.000 0.000 7.764
Nd Y Tm
4 1 8
direct
0.000 0.000 0.000
0.000 0.500 0.500
0.500 0.000 0.500
0.500 0.500 0.000
0.500 0.500 0.500
0.240 0.240 0.240
0.240 0.240 0.760
0.240 0.760 0.240
0.240 0.760 0.760
0.760 0.240 0.240
0.760 0.240 0.760
0.760 0.760 0.240
0.760 0.760 0.760
```

The 10 most intense peaks (2θ from 10° to 90°), by angle:
2θ (°)  Rel. int.
19.81  14
22.91  13
32.62  100
38.45  8
40.24  4
46.80  18
52.72  5
58.21  37
68.34  11
77.80  15



CsTcBr4: calculated X-ray powder pattern (a wavelength of 1.5418 Å), based on a crystal structure in Alexandria, relaxed with GGA-PBE.

Structural model:
```
CsTcBr4
1.0
11.977 -3.678 0.000
11.977 3.678 0.000
-0.885 0.000 5.197
Cs Tc Br
2 2 8
direct
0.196 0.196 0.179
0.804 0.804 0.821
0.467 0.467 0.330
0.533 0.533 0.670
0.164 0.641 0.413
0.280 0.720 0.000
0.295 0.295 0.755
0.359 0.836 0.587
0.641 0.164 0.413
0.705 0.705 0.245
0.720 0.280 0.000
0.836 0.359 0.587
```

The 10 most intense peaks (2θ from 10° to 90°), by angle:
2θ (°)  Rel. int.
12.60  46
16.49  46
20.77  29
24.65  100
25.36  36
26.00  49
31.45  40
32.11  71
34.06  34
40.74  33



Ac4La3In4: calculated X-ray powder pattern (a wavelength of 1.5418 Å), based on a crystal structure in Alexandria, relaxed with GGA-PBE.

Structural model:
```
Ac4La3In4
1.0
-1.952 5.042 10.195
1.952 -5.042 10.195
1.952 5.042 -10.195
Ac La In
4 3 4
direct
0.016 0.835 0.181
0.346 0.165 0.181
0.654 0.835 0.819
0.984 0.165 0.819
0.000 0.500 0.500
0.408 0.408 0.000
0.592 0.592 0.000
0.276 0.776 0.500
0.279 0.000 0.279
0.721 0.000 0.721
0.724 0.224 0.500
```

The 10 most intense peaks (2θ from 10° to 90°), by angle:
2θ (°)  Rel. int.
26.22  31
26.33  59
29.26  89
29.65  98
30.17  66
31.74  100
36.35  38
44.45  41
54.25  35
56.15  33



What did the first record say?
PuPa2Tc3: calculated X-ray powder pattern (a wavelength of 1.5418 Å), based on a crystal structure in Alexandria, relaxed with GGA-PBE.

Structural model:
```
PuPa2Tc3
1.0
4.602 0.000 0.000
0.000 15.110 0.000
0.000 0.000 3.466
Pu Pa Tc
2 4 6
direct
0.250 0.250 0.003
0.750 0.750 0.997
0.250 0.588 0.998
0.250 0.912 0.998
0.750 0.088 0.002
0.750 0.412 0.002
0.250 0.075 0.502
0.250 0.425 0.502
0.250 0.750 0.497
0.750 0.250 0.503
0.750 0.575 0.498
0.750 0.925 0.498
```

The 10 most intense peaks (2θ from 10° to 90°), by angle:
2θ (°)  Rel. int.
25.70  9
26.23  18
35.65  27
37.05  100
39.15  22
53.98  17
64.96  18
65.36  10
69.57  16
78.91  11



Copy entry 1 word for word.
PuPa2Tc3: calculated X-ray powder pattern (a wavelength of 1.5418 Å), based on a crystal structure in Alexandria, relaxed with GGA-PBE.

Structural model:
```
PuPa2Tc3
1.0
4.602 0.000 0.000
0.000 15.110 0.000
0.000 0.000 3.466
Pu Pa Tc
2 4 6
direct
0.250 0.250 0.003
0.750 0.750 0.997
0.250 0.588 0.998
0.250 0.912 0.998
0.750 0.088 0.002
0.750 0.412 0.002
0.250 0.075 0.502
0.250 0.425 0.502
0.250 0.750 0.497
0.750 0.250 0.503
0.750 0.575 0.498
0.750 0.925 0.498
```

The 10 most intense peaks (2θ from 10° to 90°), by angle:
2θ (°)  Rel. int.
25.70  9
26.23  18
35.65  27
37.05  100
39.15  22
53.98  17
64.96  18
65.36  10
69.57  16
78.91  11